Record 1
Er2Co3B4: computed powder diffractogram (Cu Kα (weighted mean of Kα1 and Kα2)), based on a cell relaxed with GGA-PBE.
Neutral-atom scattering factors, no anomalous dispersion.

Atomic structure:
Unit cell a=6.5470 b=5.4580 c=5.0110 alpha=77.29 beta=54.41 gamma=48.30
Atoms (fractional coordinates):
Er1 0.1495 0.1495 0.8505
Er2 0.8505 0.8505 0.1495
Co1 0.0000 0.0000 0.5000
Co2 0.5000 0.5000 0.0000
Co3 0.5000 0.5000 0.5000
B1 0.1265 0.5476 0.4524
B2 0.4524 0.8735 0.1265
B3 0.5476 0.1265 0.8735
B4 0.8735 0.4524 0.5476

Principal peaks in the range 2θ from 15° to 90°, low angle first:
20.3 deg, I 376; 22.7 deg, I 347; 27.4 deg, I 150; 34.7 deg, I 1000; 36.6 deg, I 143; 41.3 deg, I 322; 42.2 deg, I 513; 42.5 deg, I 212; 45.7 deg, I 530; 63.3 deg, I 157; 64.7 deg, I 163; 73.1 deg, I 145

=====

Record 2
ErCo9B4: computed powder diffractogram (Cu Kα (weighted mean of Kα1 and Kα2)), based on a cell relaxed with GGA-PBE.
Neutral-atom scattering factors, no anomalous dispersion.

Atomic structure:
Unit cell a=7.4367 b=7.4367 c=7.4367 alpha=121.42 beta=121.42 gamma=87.56
Atoms (fractional coordinates):
Er1 0.2483 0.2483 0.0000
Er2 0.7517 0.7517 0.0000
Co1 0.0000 0.5000 0.5000
Co2 0.0482 0.8312 0.5222
Co3 0.0963 0.8047 0.9010
Co4 0.1688 0.6910 0.2170
Co5 0.1953 0.0963 0.2916
Co6 0.3075 0.4070 0.7145
Co7 0.3090 0.5259 0.4778
Co8 0.4070 0.6925 0.0995
Co9 0.4741 0.9518 0.7830
Co10 0.5000 0.0000 0.5000
Co11 0.5259 0.0482 0.2170
Co12 0.5930 0.3075 0.9005
Co13 0.6910 0.4741 0.5222
Co14 0.6925 0.5930 0.2855
Co15 0.8047 0.9037 0.7084
Co16 0.8312 0.3090 0.7830
Co17 0.9037 0.1953 0.0990
Co18 0.9518 0.1688 0.4778
B1 0.0405 0.4965 0.8076
B2 0.2330 0.0405 0.5440
B3 0.3110 0.7670 0.8076
B4 0.4965 0.6890 0.4560
B5 0.5035 0.3110 0.5440
B6 0.6890 0.2330 0.1924
B7 0.7670 0.9595 0.4560
B8 0.9595 0.5035 0.1924

Principal peaks in the range 2θ from 15° to 90°, low angle first:
24.0 deg, I 99; 29.7 deg, I 94; 33.4 deg, I 189; 37.3 deg, I 200; 37.8 deg, I 149; 38.8 deg, I 104; 39.1 deg, I 110; 41.8 deg, I 107; 42.8 deg, I 1000; 51.0 deg, I 117; 56.6 deg, I 197; 67.3 deg, I 124

=====

Record 3
ErCo2B4Rh2: computed powder diffractogram (Cu Kα (weighted mean of Kα1 and Kα2)), based on a cell relaxed with GGA-PBE.
Neutral-atom scattering factors, no anomalous dispersion.

Atomic structure:
Unit cell a=5.1956 b=5.1956 c=7.1909 alpha=90.00 beta=90.00 gamma=90.00
Atoms (fractional coordinates):
Er1 0.0000 0.5000 0.0000
Er2 0.5000 0.0000 0.5000
Co1 0.0000 0.2515 0.3502
Co2 0.0000 0.7485 0.3502
Co3 0.2515 0.0000 0.8502
Co4 0.7485 0.0000 0.8502
B1 0.0000 0.1642 0.6476
B2 0.0000 0.8358 0.6476
B3 0.1642 0.0000 0.1475
B4 0.3160 0.5000 0.3367
B5 0.5000 0.3160 0.8367
B6 0.5000 0.6840 0.8367
B7 0.6840 0.5000 0.3367
B8 0.8358 0.0000 0.1475
Rh1 0.2473 0.5000 0.6334
Rh2 0.5000 0.2473 0.1334
Rh3 0.5000 0.7527 0.1334
Rh4 0.7527 0.5000 0.6334

Principal peaks in the range 2θ from 15° to 90°, low angle first:
24.2 deg, I 290; 30.2 deg, I 281; 34.5 deg, I 149; 34.9 deg, I 282; 36.8 deg, I 515; 40.8 deg, I 1000; 41.5 deg, I 629; 46.5 deg, I 233; 56.2 deg, I 153; 66.1 deg, I 227; 66.6 deg, I 160; 73.7 deg, I 248